Simulated XRD peak list of AcAl9Co2 for Cu Ka, from a structure optimized by DFT (PBE).
Lines closer than 0.1° are merged.

Most intense lines, 2θ = 15–90°, low angle first:
- 2θ 22.5, 3.947 Å, I 24, (0 0 1)
- 2θ 22.6, 3.929 Å, I 96, (1 1 0)
- 2θ 26.1, 3.410 Å, I 57, (2 0 0)
- 2θ 32.1, 2.784 Å, I 96, (1 1 1)
- 2θ 34.8, 2.575 Å, I 100, (2 0 1)
- 2θ 46.2, 1.966 Å, I 83, (2 2 0)
- 2θ 51.8, 1.763 Å, I 21, (1 1 2)
- 2θ 52.0, 1.759 Å, I 34, (2 2 1)
- 2θ 53.9, 1.702 Å, I 23, (4 0 0)
- 2θ 67.2, 1.392 Å, I 21, (2 2 2)

Cell and atoms:
a b c (Å): 7.8571 7.8571 3.9470
angles (deg): 90.00 90.00 120.00
Space group P6/mmm (No. 191)
Unique sites:
Ac 0.0000 0.0000 0.0000 [1 per cell]
Al 0.0000 0.5000 0.0000 [3 per cell]
Al 0.2138 0.4277 0.5000 [6 per cell]
Co 0.3333 0.6667 0.0000 [2 per cell]